1.
Starting from a DFT-relaxed cell (PBE, OQMD), the powder diffractogram of CsCdFeTe3 was calculated for Cu Kα (λ = 1.5418 Å).
Intensities are scaled so that the largest is 100.

Atomic structure:
Cell: 9.028 4.072 12.141 Å, 90.00 110.99 90.00°
Fractional positions:
Cs 0.021 0.250 0.276
Cs 0.979 0.750 0.724
Cd 0.465 0.750 0.373
Cd 0.535 0.250 0.627
Fe 0.447 0.250 0.092
Fe 0.553 0.750 0.908
Te 0.274 0.750 0.127
Te 0.297 0.750 0.540
Te 0.356 0.250 0.867
Te 0.644 0.750 0.133
Te 0.703 0.250 0.460
Te 0.726 0.250 0.873

Largest 8 diffraction maxima, low angle first, 2θ = 10–90°:
2theta	d [Å]	I (rel.)
10.5	8.429	96
26.7	3.340	100
29.4	3.035	64
29.5	3.024	71
30.7	2.915	56
37.4	2.404	51
44.5	2.036	45
45.8	1.981	49

---

2.
Starting from a DFT-relaxed cell (PBE, OQMD), the powder diffractogram of Cs4CdGe2O7 was calculated for Cu Kα (λ = 1.5418 Å).
Intensities are scaled so that the largest is 100.

Atomic structure:
Cell: 6.641 7.449 7.531 Å, 113.06 101.18 105.84°
Fractional positions:
Cs 0.072 0.051 0.279
Cs 0.318 0.594 0.240
Cs 0.682 0.406 0.760
Cs 0.928 0.949 0.721
Cd 0.500 0.000 0.000
Ge 0.218 0.563 0.726
Ge 0.782 0.437 0.274
O 0.000 0.500 0.500
O 0.177 0.753 0.937
O 0.203 0.331 0.734
O 0.477 0.719 0.726
O 0.523 0.281 0.274
O 0.797 0.669 0.266
O 0.823 0.247 0.063

Largest 8 diffraction maxima, low angle first, 2θ = 10–90°:
2theta	d [Å]	I (rel.)
23.3	3.818	22
24.1	3.697	27
26.3	3.392	100
27.4	3.258	45
27.5	3.242	66
28.2	3.161	29
31.6	2.834	54
33.8	2.649	38

---

3.
Starting from a DFT-relaxed cell (PBE, OQMD), the powder diffractogram of Cs2CdGe3S8 was calculated for Cu Kα (λ = 1.5418 Å).
Intensities are scaled so that the largest is 100.

Atomic structure:
Cell: 7.526 12.776 17.274 Å, 90.00 90.00 90.00°
Fractional positions:
Cs 0.231 0.195 0.348
Cs 0.248 0.132 0.946
Cs 0.252 0.868 0.446
Cs 0.269 0.805 0.848
Cs 0.731 0.305 0.652
Cs 0.748 0.368 0.054
Cs 0.752 0.632 0.554
Cs 0.769 0.695 0.152
Cd 0.028 0.999 0.652
Cd 0.472 0.001 0.152
Cd 0.528 0.501 0.348
Cd 0.972 0.499 0.848
Ge 0.029 0.530 0.346
Ge 0.231 0.548 0.677
Ge 0.238 0.555 0.018
Ge 0.262 0.445 0.518
Ge 0.269 0.452 0.177
Ge 0.471 0.470 0.846
Ge 0.529 0.970 0.654
Ge 0.731 0.952 0.323
Ge 0.738 0.945 0.982
Ge 0.762 0.055 0.482
Ge 0.769 0.048 0.823
Ge 0.971 0.030 0.154
S 0.003 0.118 0.770
S 0.009 0.115 0.531
S 0.010 0.422 0.239
S 0.013 0.413 0.448
S 0.211 0.128 0.150
S 0.214 0.378 0.638
S 0.232 0.384 0.056
S 0.234 0.372 0.844
S 0.266 0.628 0.344
S 0.268 0.616 0.556
S 0.286 0.622 0.138
S 0.289 0.872 0.650
S 0.487 0.587 0.948
S 0.490 0.578 0.739
S 0.491 0.885 0.031
S 0.497 0.882 0.270
S 0.503 0.382 0.230
S 0.509 0.385 0.469
S 0.510 0.078 0.761
S 0.513 0.087 0.552
S 0.711 0.372 0.850
S 0.714 0.122 0.362
S 0.732 0.116 0.944
S 0.734 0.128 0.156
S 0.766 0.872 0.656
S 0.768 0.884 0.444
S 0.786 0.878 0.862
S 0.789 0.628 0.350
S 0.987 0.913 0.052
S 0.990 0.922 0.261
S 0.991 0.615 0.969
S 0.997 0.618 0.730

Largest 8 diffraction maxima, low angle first, 2θ = 10–90°:
2theta	d [Å]	I (rel.)
13.9	6.388	57
20.9	4.242	46
23.3	3.820	45
24.0	3.713	75
26.8	3.330	100
29.3	3.053	42
29.4	3.038	69
49.2	1.852	34

---

4.
Starting from a DFT-relaxed cell (PBE, OQMD), the powder diffractogram of Cs2CdGe3Se8 was calculated for Cu Kα (λ = 1.5418 Å).
Intensities are scaled so that the largest is 100.

Atomic structure:
Cell: 7.888 13.352 18.116 Å, 90.00 90.00 90.00°
Fractional positions:
Cs 0.230 0.198 0.346
Cs 0.244 0.124 0.948
Cs 0.256 0.876 0.448
Cs 0.270 0.802 0.846
Cs 0.730 0.302 0.654
Cs 0.744 0.376 0.052
Cs 0.756 0.624 0.552
Cs 0.770 0.698 0.154
Cd 0.019 0.000 0.653
Cd 0.481 0.000 0.153
Cd 0.519 0.500 0.347
Cd 0.981 0.500 0.847
Ge 0.021 0.528 0.346
Ge 0.235 0.551 0.676
Ge 0.238 0.558 0.018
Ge 0.262 0.442 0.518
Ge 0.265 0.449 0.176
Ge 0.479 0.472 0.846
Ge 0.521 0.972 0.654
Ge 0.735 0.949 0.324
Ge 0.738 0.942 0.982
Ge 0.762 0.058 0.482
Ge 0.765 0.051 0.824
Ge 0.979 0.028 0.154
Se 0.001 0.417 0.238
Se 0.005 0.122 0.770
Se 0.006 0.409 0.449
Se 0.013 0.120 0.533
Se 0.217 0.376 0.641
Se 0.222 0.130 0.151
Se 0.230 0.381 0.052
Se 0.239 0.369 0.843
Se 0.261 0.631 0.343
Se 0.270 0.619 0.552
Se 0.278 0.870 0.651
Se 0.283 0.624 0.141
Se 0.487 0.880 0.033
Se 0.494 0.591 0.949
Se 0.495 0.878 0.270
Se 0.499 0.583 0.738
Se 0.501 0.083 0.762
Se 0.505 0.378 0.230
Se 0.506 0.091 0.551
Se 0.513 0.380 0.467
Se 0.717 0.124 0.359
Se 0.722 0.370 0.849
Se 0.730 0.119 0.948
Se 0.739 0.131 0.157
Se 0.761 0.869 0.657
Se 0.770 0.881 0.448
Se 0.778 0.630 0.349
Se 0.783 0.876 0.859
Se 0.987 0.620 0.967
Se 0.994 0.909 0.051
Se 0.995 0.622 0.730
Se 0.999 0.917 0.262

Largest 8 diffraction maxima, low angle first, 2θ = 10–90°:
2theta	d [Å]	I (rel.)
13.3	6.676	37
24.9	3.583	24
25.5	3.490	54
26.7	3.338	55
28.0	3.184	100
45.7	1.987	26
46.0	1.972	26
54.8	1.677	23

---

5.
Starting from a DFT-relaxed cell (PBE, OQMD), the powder diffractogram of CsRbCdHgSb2 was calculated for Cu Kα (λ = 1.5418 Å).
Intensities are scaled so that the largest is 100.

Atomic structure:
Cell: 4.916 4.916 11.525 Å, 90.00 90.00 120.00°
Fractional positions:
Cs 0.000 0.000 0.000
Rb 0.000 0.000 0.500
Cd 0.333 0.667 0.259
Hg 0.667 0.333 0.741
Sb 0.333 0.667 0.742
Sb 0.667 0.333 0.258

Largest 8 diffraction maxima, low angle first, 2θ = 10–90°:
2theta	d [Å]	I (rel.)
15.4	5.762	26
26.0	3.424	100
31.0	2.881	25
36.6	2.458	49
39.9	2.261	15
45.4	1.997	22
48.7	1.870	42
59.7	1.550	19

---

6.
Starting from a DFT-relaxed cell (PBE, OQMD), the powder diffractogram of CsHoCdO3 was calculated for Cu Kα (λ = 1.5418 Å).
Intensities are scaled so that the largest is 100.

Atomic structure:
Cell: 7.336 7.336 9.201 Å, 90.00 90.00 151.59°
Fractional positions:
Cs 0.195 0.805 0.750
Cs 0.805 0.195 0.250
Ho 0.500 0.500 0.000
Ho 0.500 0.500 0.500
Cd 0.084 0.916 0.250
Cd 0.916 0.084 0.750
O 0.101 0.899 0.024
O 0.101 0.899 0.476
O 0.480 0.520 0.250
O 0.520 0.480 0.750
O 0.899 0.101 0.524
O 0.899 0.101 0.976

Largest 8 diffraction maxima, low angle first, 2θ = 10–90°:
2theta	d [Å]	I (rel.)
12.4	7.112	74
23.0	3.863	67
26.9	3.317	56
31.2	2.867	73
32.2	2.781	100
32.7	2.738	52
39.2	2.301	47
50.9	1.794	35

---

7.
Starting from a DFT-relaxed cell (PBE, OQMD), the powder diffractogram of CsHoCdS3 was calculated for Cu Kα (λ = 1.5418 Å).
Intensities are scaled so that the largest is 100.

Atomic structure:
Cell: 8.889 8.889 9.197 Å, 101.55 101.55 26.89°
Fractional positions:
Cs 0.153 0.153 0.058
Cs 0.847 0.847 0.942
Ho 0.167 0.167 0.572
Ho 0.833 0.833 0.428
Cd 0.498 0.498 0.281
Cd 0.502 0.502 0.719
S 0.000 0.000 0.500
S 0.330 0.330 0.628
S 0.344 0.344 0.246
S 0.500 0.500 0.000
S 0.656 0.656 0.754
S 0.670 0.670 0.372

Largest 8 diffraction maxima, low angle first, 2θ = 10–90°:
2theta	d [Å]	I (rel.)
24.2	3.672	37
25.8	3.458	31
26.7	3.334	70
29.1	3.071	100
31.7	2.820	48
42.6	2.121	28
43.8	2.066	21
44.5	2.036	31

---

8.
Starting from a DFT-relaxed cell (PBE, OQMD), the powder diffractogram of CsCd2InIr was calculated for Cu Kα (λ = 1.5418 Å).
Intensities are scaled so that the largest is 100.

Atomic structure:
Cell: 5.409 5.409 5.202 Å, 90.00 90.00 90.00°
Fractional positions:
Cs 0.000 0.000 0.000
Cd 0.000 0.500 0.500
Cd 0.500 0.000 0.500
In 0.500 0.500 0.000
Ir 0.500 0.500 0.500

Largest 8 diffraction maxima, low angle first, 2θ = 10–90°:
2theta	d [Å]	I (rel.)
16.4	5.409	38
23.7	3.749	43
29.0	3.081	54
33.1	2.704	100
34.5	2.601	45
47.5	1.912	36
48.6	1.875	67
60.0	1.541	35

---

9.
Starting from a DFT-relaxed cell (PBE, OQMD), the powder diffractogram of Cs2K2Cd3O5 was calculated for Cu Kα (λ = 1.5418 Å).
Intensities are scaled so that the largest is 100.

Atomic structure:
Cell: 6.563 9.195 9.402 Å, 66.16 74.14 71.72°
Fractional positions:
Cs 0.058 0.079 0.151
Cs 0.391 0.208 0.752
Cs 0.609 0.792 0.248
Cs 0.942 0.921 0.849
K 0.058 0.448 0.195
K 0.243 0.070 0.481
K 0.757 0.930 0.519
K 0.942 0.552 0.805
Cd 0.127 0.642 0.407
Cd 0.403 0.685 0.997
Cd 0.432 0.670 0.672
Cd 0.568 0.330 0.328
Cd 0.597 0.315 0.003
Cd 0.873 0.358 0.593
O 0.104 0.756 0.153
O 0.180 0.787 0.520
O 0.233 0.376 0.463
O 0.314 0.496 0.906
O 0.438 0.870 0.759
O 0.562 0.130 0.241
O 0.686 0.504 0.094
O 0.767 0.624 0.537
O 0.820 0.213 0.480
O 0.896 0.244 0.847

Largest 8 diffraction maxima, low angle first, 2θ = 10–90°:
2theta	d [Å]	I (rel.)
20.9	4.259	25
28.9	3.092	59
29.4	3.039	59
29.6	3.016	30
30.8	2.907	34
31.1	2.875	31
31.6	2.832	36
32.6	2.746	100

---

10.
Starting from a DFT-relaxed cell (PBE, OQMD), the powder diffractogram of CsLiCdP2O7 was calculated for Cu Kα (λ = 1.5418 Å).
Intensities are scaled so that the largest is 100.

Atomic structure:
Cell: 12.703 5.286 10.491 Å, 90.00 90.00 90.00°
Fractional positions:
Cs 0.000 0.018 0.000
Cs 0.000 0.982 0.500
Cs 0.500 0.481 0.257
Cs 0.500 0.519 0.757
Li 0.250 0.482 0.011
Li 0.250 0.518 0.511
Li 0.750 0.482 0.011
Li 0.750 0.518 0.511
Cd 0.249 0.079 0.724
Cd 0.249 0.921 0.224
Cd 0.751 0.079 0.724
Cd 0.751 0.921 0.224
P 0.117 0.470 0.253
P 0.117 0.530 0.753
P 0.383 0.015 0.495
P 0.383 0.985 0.995
P 0.617 0.015 0.495
P 0.617 0.985 0.995
P 0.883 0.470 0.253
P 0.883 0.530 0.753
O 0.000 0.444 0.802
O 0.000 0.556 0.302
O 0.116 0.181 0.257
O 0.116 0.819 0.757
O 0.135 0.410 0.622
O 0.135 0.590 0.122
O 0.191 0.406 0.850
O 0.191 0.594 0.350
O 0.310 0.171 0.065
O 0.310 0.829 0.565
O 0.363 0.283 0.543
O 0.363 0.717 0.043
O 0.384 0.014 0.851
O 0.384 0.986 0.351
O 0.500 0.070 0.043
O 0.500 0.930 0.543
O 0.616 0.014 0.851
O 0.616 0.986 0.351
O 0.637 0.283 0.543
O 0.637 0.717 0.043
O 0.690 0.171 0.065
O 0.690 0.829 0.565
O 0.809 0.406 0.850
O 0.809 0.594 0.350
O 0.865 0.410 0.622
O 0.865 0.590 0.122
O 0.884 0.181 0.257
O 0.884 0.819 0.757

Largest 8 diffraction maxima, low angle first, 2θ = 10–90°:
2theta	d [Å]	I (rel.)
16.9	5.245	16
22.0	4.044	17
27.0	3.300	63
27.8	3.212	100
33.9	2.644	20
34.2	2.623	18
39.4	2.288	18
49.5	1.840	18